Entry 1:
Structure and computed X-ray powder pattern of Nd3Ho4 (a PBE-relaxed structure; a wavelength of 1.5418 Å).
No peak broadening, texture or thermal motion is included.

Top 10 peaks for 10° ≤ 2θ ≤ 90°, low angle first:
d [Å], I/Imax
2.933, 100
2.541, 17
2.539, 34
1.796, 36
1.532, 43
1.467, 6
1.466, 6
1.270, 6
1.165, 18
1.136, 12

Cell and atoms:
abc: 6.2222 6.2222 8.0324
angles: 97.49 97.49 48.19
Positions (direct):
Nd 0.0000 0.0000 0.0000
Nd 0.2864 0.2864 0.8537
Nd 0.7136 0.7136 0.1463
Ho 0.1422 0.1422 0.4298
Ho 0.4277 0.4277 0.2909
Ho 0.5723 0.5723 0.7091
Ho 0.8578 0.8578 0.5702


Entry 2:
Structure and computed X-ray powder pattern of Nd3Ho13 (a PBE-relaxed structure; a wavelength of 1.5418 Å).
No peak broadening, texture or thermal motion is included.

Top 10 peaks for 10° ≤ 2θ ≤ 90°, low angle first:
d [Å], I/Imax
3.141, 24
2.826, 24
2.746, 100
2.101, 16
1.812, 13
1.616, 14
1.526, 15
1.514, 11
1.161, 9
1.115, 8

Cell and atoms:
abc: 7.2659 8.4445 8.4445
angles: 84.04 90.00 90.00
Positions (direct):
Nd 0.0000 0.0000 0.0000
Nd 0.2518 0.7467 0.7467
Nd 0.7482 0.7467 0.7467
Ho 0.0000 0.4142 0.9168
Ho 0.0000 0.4965 0.4965
Ho 0.0000 0.9168 0.4142
Ho 0.2502 0.2495 0.2495
Ho 0.2511 0.1684 0.6628
Ho 0.2511 0.6628 0.1684
Ho 0.5000 0.0000 0.0000
Ho 0.5000 0.4120 0.9189
Ho 0.5000 0.4966 0.4966
Ho 0.5000 0.9189 0.4120
Ho 0.7489 0.1684 0.6628
Ho 0.7489 0.6628 0.1684
Ho 0.7498 0.2495 0.2495


Entry 3:
Structure and computed X-ray powder pattern of Nd4Ho3 (a PBE-relaxed structure; a wavelength of 1.5418 Å).
No peak broadening, texture or thermal motion is included.

Top 10 peaks for 10° ≤ 2θ ≤ 90°, low angle first:
d [Å], I/Imax
2.956, 100
2.946, 99
2.559, 68
2.549, 33
1.810, 36
1.804, 36
1.546, 14
1.541, 57
1.536, 14
1.478, 12

Cell and atoms:
abc: 6.2407 6.2407 8.1076
angles: 97.41 97.41 48.36
Positions (direct):
Nd 0.1422 0.1422 0.4265
Nd 0.2858 0.2858 0.8588
Nd 0.7142 0.7142 0.1412
Nd 0.8578 0.8578 0.5735
Ho 0.0000 0.0000 0.0000
Ho 0.4291 0.4291 0.2859
Ho 0.5709 0.5709 0.7141


Entry 4:
Structure and computed X-ray powder pattern of Nd2Ho13 (a PBE-relaxed structure; a wavelength of 1.5418 Å).
No peak broadening, texture or thermal motion is included.

Top 10 peaks for 10° ≤ 2θ ≤ 90°, low angle first:
d [Å], I/Imax
2.828, 100
2.802, 71
2.785, 35
1.994, 12
1.988, 12
1.984, 12
1.623, 12
1.620, 12
1.616, 12
1.479, 21

Cell and atoms:
abc: 6.6066 8.9193 8.9341
angles: 65.47 81.81 81.52
Positions (direct):
Nd 0.1148 0.2790 0.4140
Nd 0.8852 0.7210 0.5860
Ho 0.0000 0.5000 0.0000
Ho 0.0959 0.9486 0.7526
Ho 0.2043 0.7060 0.1946
Ho 0.2942 0.1344 0.9675
Ho 0.2974 0.4698 0.6299
Ho 0.4040 0.9003 0.3970
Ho 0.4800 0.6686 0.8398
Ho 0.5200 0.3314 0.1602
Ho 0.5960 0.0997 0.6030
Ho 0.7026 0.5302 0.3701
Ho 0.7058 0.8656 0.0325
Ho 0.7957 0.2940 0.8054
Ho 0.9041 0.0514 0.2474


Entry 5:
Structure and computed X-ray powder pattern of Nd2Ho7 (a PBE-relaxed structure; a wavelength of 1.5418 Å).
No peak broadening, texture or thermal motion is included.

Top 10 peaks for 10° ≤ 2θ ≤ 90°, low angle first:
d [Å], I/Imax
2.868, 82
2.794, 100
2.713, 23
2.367, 18
2.001, 25
1.692, 18
1.627, 23
1.613, 16
1.501, 31
1.195, 12

Cell and atoms:
abc: 9.6791 9.6791 3.5600
angles: 90.00 90.00 120.00
Positions (direct):
Nd 0.3333 0.6667 0.0000
Nd 0.6667 0.3333 0.0000
Ho 0.0000 0.0000 0.5000
Ho 0.0000 0.3034 0.0000
Ho 0.0000 0.6460 0.5000
Ho 0.3034 0.0000 0.0000
Ho 0.3540 0.3540 0.5000
Ho 0.6460 0.0000 0.5000
Ho 0.6966 0.6966 0.0000


Entry 6:
Structure and computed X-ray powder pattern of Nd8Ho3 (a PBE-relaxed structure; a wavelength of 1.5418 Å).
No peak broadening, texture or thermal motion is included.

Top 10 peaks for 10° ≤ 2θ ≤ 90°, low angle first:
d [Å], I/Imax
3.368, 17
3.213, 50
3.134, 100
2.919, 33
2.325, 37
2.170, 34
2.102, 14
1.857, 14
1.567, 15
1.528, 11

Cell and atoms:
abc: 7.3212 7.3212 7.3212
angles: 84.33 84.33 84.33
Positions (direct):
Nd 0.1117 0.1117 0.1117
Nd 0.1923 0.6154 0.3497
Nd 0.3497 0.1923 0.6154
Nd 0.3846 0.6503 0.8077
Nd 0.6154 0.3497 0.1923
Nd 0.6503 0.8077 0.3846
Nd 0.8077 0.3846 0.6503
Nd 0.8883 0.8883 0.8883
Ho 0.0000 0.0000 0.5000
Ho 0.0000 0.5000 0.0000
Ho 0.5000 0.0000 0.0000


Entry 7:
Structure and computed X-ray powder pattern of NdHo12Ni6 (a PBE-relaxed structure; a wavelength of 1.5418 Å).
No peak broadening, texture or thermal motion is included.

Top 10 peaks for 10° ≤ 2θ ≤ 90°, low angle first:
d [Å], I/Imax
3.101, 52
2.831, 32
2.621, 100
1.923, 23
1.682, 33
1.634, 16
1.591, 33
1.387, 16
1.156, 17
1.140, 16

Cell and atoms:
abc: 8.4916 8.4916 8.4916
angles: 109.47 109.47 109.47
Positions (direct):
Nd 0.0000 0.0000 0.0000
Ho 0.1269 0.3113 0.8157
Ho 0.1843 0.4956 0.3113
Ho 0.1843 0.8731 0.6887
Ho 0.3113 0.1843 0.4956
Ho 0.3113 0.8157 0.1269
Ho 0.4956 0.3113 0.1843
Ho 0.5044 0.6887 0.8157
Ho 0.6887 0.1843 0.8731
Ho 0.6887 0.8157 0.5044
Ho 0.8157 0.1269 0.3113
Ho 0.8157 0.5044 0.6887
Ho 0.8731 0.6887 0.1843
Ni 0.1238 0.5000 0.6238
Ni 0.3762 0.8762 0.5000
Ni 0.5000 0.3762 0.8762
Ni 0.5000 0.6238 0.1238
Ni 0.6238 0.1238 0.5000
Ni 0.8762 0.5000 0.3762


Entry 8:
Structure and computed X-ray powder pattern of Nd2Ho4Sn3O2 (a PBE-relaxed structure; a wavelength of 1.5418 Å).
No peak broadening, texture or thermal motion is included.

Top 10 peaks for 10° ≤ 2θ ≤ 90°, low angle first:
d [Å], I/Imax
3.182, 62
2.920, 16
2.863, 15
2.598, 100
2.324, 53
1.877, 16
1.644, 18
1.566, 12
1.460, 16
1.389, 30

Cell and atoms:
abc: 13.1382 13.1382 13.1382
angles: 159.62 159.62 28.98
Positions (direct):
Nd 0.1952 0.1952 0.0000
Nd 0.8048 0.8048 0.0000
Ho 0.0818 0.5818 0.5000
Ho 0.4182 0.9182 0.5000
Ho 0.5818 0.0818 0.5000
Ho 0.9182 0.4182 0.5000
Sn 0.3257 0.3257 0.0000
Sn 0.5000 0.5000 0.0000
Sn 0.6743 0.6743 0.0000
O 0.0922 0.0922 0.0000
O 0.9078 0.9078 0.0000


Entry 9:
Structure and computed X-ray powder pattern of NdHoTe2O8 (a PBE-relaxed structure; a wavelength of 1.5418 Å).
No peak broadening, texture or thermal motion is included.

Top 10 peaks for 10° ≤ 2θ ≤ 90°, low angle first:
d [Å], I/Imax
3.736, 100
2.890, 80
2.642, 26
1.950, 67
1.868, 16
1.671, 16
1.568, 35
1.445, 11
1.349, 15
1.201, 25

Cell and atoms:
abc: 6.3121 6.3121 6.3121
angles: 107.41 107.41 113.67
Positions (direct):
Nd 0.0000 0.0000 0.0000
Ho 0.7500 0.2500 0.5000
Te 0.2500 0.7500 0.5000
Te 0.5000 0.5000 0.0000
O 0.0507 0.3709 0.3202
O 0.0507 0.7305 0.6798
O 0.1113 0.3015 0.8098
O 0.2695 0.9493 0.3202
O 0.4916 0.3015 0.1902
O 0.6291 0.9493 0.6798
O 0.6985 0.5084 0.8098
O 0.6985 0.8887 0.1902


Entry 10:
Structure and computed X-ray powder pattern of Nd3HoZr4O14 (a PBE-relaxed structure; a wavelength of 1.5418 Å).
No peak broadening, texture or thermal motion is included.

Top 10 peaks for 10° ≤ 2θ ≤ 90°, low angle first:
d [Å], I/Imax
3.100, 100
2.684, 31
2.464, 6
1.898, 49
1.619, 43
1.550, 10
1.342, 7
1.232, 17
1.201, 13
1.096, 11

Cell and atoms:
abc: 7.5902 7.5902 7.5902
angles: 60.05 60.05 60.05
Positions (direct):
Nd 0.0000 0.5000 0.5000
Nd 0.5000 0.0000 0.5000
Nd 0.5000 0.5000 0.0000
Ho 0.5000 0.5000 0.5000
Zr 0.0000 0.0000 0.0000
Zr 0.0000 0.0000 0.5000
Zr 0.0000 0.5000 0.0000
Zr 0.5000 0.0000 0.0000
O 0.0872 0.0872 0.6629
O 0.0872 0.6629 0.0872
O 0.0894 0.6633 0.6633
O 0.3367 0.3367 0.9106
O 0.3367 0.9106 0.3367
O 0.3371 0.9128 0.9128
O 0.3797 0.3797 0.3797
O 0.6203 0.6203 0.6203
O 0.6629 0.0872 0.0872
O 0.6633 0.0894 0.6633
O 0.6633 0.6633 0.0894
O 0.9106 0.3367 0.3367
O 0.9128 0.3371 0.9128
O 0.9128 0.9128 0.3371


Entry 11:
Structure and computed X-ray powder pattern of NdSm3Ho2P6 (a PBE-relaxed structure; a wavelength of 1.5418 Å).
No peak broadening, texture or thermal motion is included.

Top 10 peaks for 10° ≤ 2θ ≤ 90°, low angle first:
d [Å], I/Imax
3.330, 84
2.884, 100
2.039, 73
1.739, 41
1.665, 26
1.442, 12
1.323, 17
1.290, 33
1.177, 25
1.110, 13

Cell and atoms:
abc: 7.0642 7.0642 7.0649
angles: 99.59 99.59 120.00
Positions (direct):
Nd 0.0000 0.0000 0.0000
Sm 0.1656 0.8344 0.5000
Sm 0.5000 0.5000 0.5000
Sm 0.8344 0.1656 0.5000
Ho 0.3330 0.6670 0.0000
Ho 0.6670 0.3330 0.0000
P 0.0822 0.4213 0.2466
P 0.2572 0.2572 0.7543
P 0.4213 0.0822 0.2466
P 0.5787 0.9178 0.7534
P 0.7428 0.7428 0.2457
P 0.9178 0.5787 0.7534


Entry 12:
Structure and computed X-ray powder pattern of NdHoTh2P4 (a PBE-relaxed structure; a wavelength of 1.5418 Å).
No peak broadening, texture or thermal motion is included.

Top 10 peaks for 10° ≤ 2θ ≤ 90°, low angle first:
d [Å], I/Imax
3.363, 74
3.341, 24
2.908, 100
2.061, 38
2.051, 37
1.756, 21
1.754, 16
1.681, 20
1.303, 17
1.298, 17

Cell and atoms:
abc: 7.0960 4.1214 7.1403
angles: 90.00 109.65 90.00
Positions (direct):
Nd 0.0000 0.0000 0.0000
Ho 0.0000 0.5000 0.5000
Th 0.5000 0.0000 0.5000
Th 0.5000 0.5000 0.0000
P 0.2461 0.0000 0.7440
P 0.2500 0.5000 0.2546
P 0.7500 0.5000 0.7454
P 0.7539 0.0000 0.2560


Number 7 is which compound? NdHo12Ni6